[1]
# SrLi3PtN3
Simulated X-ray diffraction stick pattern, λ = 1.5418 Å (Cu Kα). Input: DFT lattice parameters and positions (PBE).

Most intense lines, 10 to 80 degrees two-theta, sorted by position:
2θ = 17.61°, rel. 80.6
2θ = 24.97°, rel. 51.4
2θ = 28.53°, rel. 59.2
2θ = 29.69°, rel. 100.0
2θ = 32.78°, rel. 26.5
2θ = 36.49°, rel. 54.5
2θ = 41.64°, rel. 23.1
2θ = 47.73°, rel. 22.0
2θ = 51.97°, rel. 27.0
2θ = 52.69°, rel. 32.3
2θ = 57.23°, rel. 27.9
2θ = 65.09°, rel. 22.2

Atomic structure:
```
16
Lattice="3.009 1.737 6.519 -3.009 1.737 6.519 0.000 -3.474 6.519" Properties=species:S:1:pos:R:3 pbc="T T T"
Sr 0.000 0.000 3.112
Sr 0.000 0.000 16.445
Li -0.632 -1.472 5.934
Li -0.959 1.283 5.934
Li -1.591 -0.189 13.622
Li 1.591 0.189 5.934
Li 0.959 -1.283 13.622
Li 0.632 1.472 13.622
Pt 0.000 0.000 8.178
Pt 0.000 0.000 11.379
N -1.005 -1.630 8.046
N -1.914 0.056 11.510
N -0.909 1.686 8.046
N 0.909 -1.686 11.510
N 1.914 -0.056 8.046
N 1.005 1.630 11.510
```

=====

[2]
# LiPu2N3
Simulated X-ray diffraction stick pattern, λ = 1.5418 Å (Cu Kα). Input: DFT lattice parameters and positions (PBE).

Most intense lines, 10 to 80 degrees two-theta, sorted by position:
2θ = 16.42°, rel. 40.5
2θ = 22.06°, rel. 98.6
2θ = 26.79°, rel. 55.3
2θ = 32.30°, rel. 97.7
2θ = 32.87°, rel. 95.8
2θ = 33.20°, rel. 25.1
2θ = 35.80°, rel. 100.0
2θ = 41.58°, rel. 35.9
2θ = 47.41°, rel. 51.4
2θ = 56.00°, rel. 55.5
2θ = 61.79°, rel. 29.8
2θ = 62.82°, rel. 31.9

Atomic structure:
```
12
Lattice="3.499 0.000 0.000 0.000 4.344 0.000 0.000 0.000 10.795" Properties=species:S:1:pos:R:3 pbc="T T T"
Li 0.000 0.000 0.000
Li 1.749 2.172 5.398
Pu 0.000 0.000 3.735
Pu 0.000 0.000 7.060
Pu 1.749 2.172 1.663
Pu 1.749 2.172 9.133
N 0.000 2.172 0.000
N 0.000 2.172 3.151
N 0.000 2.172 7.644
N 1.749 0.000 2.247
N 1.749 0.000 5.398
N 1.749 0.000 8.549
```

=====

[3]
# SrLi3ReN3
Simulated X-ray diffraction stick pattern, λ = 1.5418 Å (Cu Kα). Input: DFT lattice parameters and positions (PBE).

Most intense lines, 10 to 80 degrees two-theta, sorted by position:
2θ = 13.63°, rel. 72.9
2θ = 18.04°, rel. 95.1
2θ = 19.70°, rel. 41.0
2θ = 28.87°, rel. 19.2
2θ = 30.46°, rel. 100.0
2θ = 33.51°, rel. 79.0
2θ = 36.81°, rel. 52.0
2θ = 41.09°, rel. 34.7
2θ = 48.50°, rel. 21.2
2θ = 54.13°, rel. 32.7
2θ = 58.36°, rel. 25.8
2θ = 61.47°, rel. 20.6

Atomic structure:
```
16
Lattice="2.935 1.694 6.496 -2.935 1.694 6.496 0.000 -3.389 6.496" Properties=species:S:1:pos:R:3 pbc="T T T"
Sr 0.000 0.000 3.173
Sr 0.000 0.000 16.314
Li -1.705 0.183 5.816
Li 0.694 -1.568 5.816
Li -1.011 -1.385 13.672
Li 1.011 1.385 5.816
Li -0.694 1.568 13.672
Li 1.705 -0.183 13.672
Re 0.000 0.000 8.551
Re 0.000 0.000 10.937
N -1.797 0.021 7.924
N -0.917 -1.545 11.563
N 0.880 -1.567 7.924
N -0.880 1.567 11.563
N 0.917 1.545 7.924
N 1.797 -0.021 11.563
```

=====

[4]
# Sr2Li3TaN4
Simulated X-ray diffraction stick pattern, λ = 1.5418 Å (Cu Kα). Input: DFT lattice parameters and positions (PBE).

Most intense lines, 10 to 80 degrees two-theta, sorted by position:
2θ = 18.55°, rel. 100.0
2θ = 18.82°, rel. 18.3
2θ = 19.01°, rel. 21.6
2θ = 29.74°, rel. 61.8
2θ = 30.00°, rel. 62.0
2θ = 32.83°, rel. 23.2
2θ = 33.09°, rel. 35.0
2θ = 33.20°, rel. 17.9
2θ = 36.30°, rel. 20.9
2θ = 38.09°, rel. 18.0
2θ = 38.28°, rel. 31.8
2θ = 46.90°, rel. 21.4

Atomic structure:
```
20
Lattice="5.456 -2.777 0.000 5.456 2.777 0.000 -5.419 0.000 9.335" Properties=species:S:1:pos:R:3 pbc="T T T"
Sr -1.030 1.583 8.313
Sr 3.813 1.583 5.689
Sr 1.679 -1.583 3.646
Sr 6.522 -1.583 1.022
Li 1.049 1.110 4.233
Li 1.392 0.824 7.001
Li 7.153 1.110 0.434
Li -1.661 -1.110 8.900
Li 4.101 -0.824 2.334
Li 4.444 -1.110 5.102
Ta 4.101 1.872 2.334
Ta 1.392 -1.872 7.001
N -0.665 0.278 3.724
N -3.374 -0.278 8.392
N 2.696 0.722 3.079
N 5.506 0.722 1.588
N -0.014 -0.722 7.747
N 2.797 -0.722 6.256
N 8.866 0.278 0.943
N 6.157 -0.278 5.611
```